1.
Diffraction record for Rb3AlTc. The X-ray powder pattern is computed, not measured: it uses a cell relaxed with GGA-PBE and a wavelength of 1.5418 Å.

Most intense lines, 5° ≤ 2θ ≤ 70°, low angle first:
2theta, d_spacing, I_rel
18.4, 4.833, 42
22.5, 3.946, 1000
26.1, 3.417, 710
37.2, 2.416, 544
43.9, 2.061, 498
46.0, 1.973, 196
53.6, 1.709, 92
58.9, 1.568, 206
60.6, 1.528, 255
67.1, 1.395, 187

Atomic structure:
Cell lengths 6.835, 6.835, 6.835 Å; angles 90.00, 90.00, 90.00 degrees
Atoms (fractional coordinates):
Rb (0.000, 0.000, 0.500)
Rb (0.000, 0.500, 0.000)
Rb (0.500, 0.000, 0.000)
Al (0.000, 0.000, 0.000)
Tc (0.500, 0.500, 0.500)



2.
Diffraction record for Al4Zn2Ga. The X-ray powder pattern is computed, not measured: it uses a cell relaxed with GGA-PBE and a wavelength of 1.5418 Å.

Most intense lines, 5° ≤ 2θ ≤ 70°, low angle first:
2theta, d_spacing, I_rel
5.3, 16.588, 137
16.0, 5.529, 296
21.4, 4.147, 136
36.9, 2.435, 117
37.9, 2.376, 104
38.0, 2.370, 354
38.9, 2.314, 1000
45.0, 2.016, 652
64.8, 1.438, 207
66.1, 1.413, 198

Atomic structure:
Cell lengths 16.668, 16.668, 16.668 Å; angles 9.72, 9.72, 9.72 degrees
Atoms (fractional coordinates):
Al (0.143, 0.143, 0.143)
Al (0.284, 0.284, 0.284)
Al (0.716, 0.716, 0.716)
Al (0.857, 0.857, 0.857)
Zn (0.429, 0.429, 0.429)
Zn (0.571, 0.571, 0.571)
Ga (0.000, 0.000, 0.000)



3.
Diffraction record for Zr3Zn2. The X-ray powder pattern is computed, not measured: it uses a cell relaxed with GGA-PBE and a wavelength of 1.5418 Å.

Most intense lines, 5° ≤ 2θ ≤ 70°, low angle first:
2theta, d_spacing, I_rel
33.7, 2.663, 54
37.0, 2.428, 1000
38.2, 2.356, 527
40.8, 2.210, 77
51.6, 1.772, 60
55.1, 1.666, 175
57.2, 1.611, 22
61.4, 1.511, 25
66.0, 1.416, 111
68.3, 1.374, 310

Atomic structure:
Cell lengths 3.333, 3.333, 17.716 Å; angles 90.00, 90.00, 90.00 degrees
Atoms (fractional coordinates):
Zr (0.000, 0.000, 0.000)
Zr (0.000, 0.000, 0.190)
Zr (0.000, 0.000, 0.382)
Zr (0.000, 0.000, 0.618)
Zr (0.000, 0.000, 0.810)
Zr (0.500, 0.500, 0.500)
Zn (0.500, 0.500, 0.095)
Zn (0.500, 0.500, 0.285)
Zn (0.500, 0.500, 0.715)
Zn (0.500, 0.500, 0.905)



4.
Diffraction record for Cs14Nd2S9. The X-ray powder pattern is computed, not measured: it uses a cell relaxed with GGA-PBE and a wavelength of 1.5418 Å.

Most intense lines, 5° ≤ 2θ ≤ 70°, low angle first:
2theta, d_spacing, I_rel
21.8, 4.086, 193
22.0, 4.044, 202
22.1, 4.014, 1000
28.3, 3.149, 518
31.4, 2.852, 387
31.7, 2.824, 554
42.9, 2.108, 131
43.2, 2.096, 166
46.9, 1.939, 139
51.1, 1.787, 157

Atomic structure:
Cell lengths 9.881, 9.881, 13.764 Å; angles 90.00, 90.00, 120.00 degrees
Atoms (fractional coordinates):
Cs (0.000, 0.000, 0.249)
Cs (0.000, 0.000, 0.751)
Cs (0.048, 0.679, 0.407)
Cs (0.095, 0.397, 0.097)
Cs (0.302, 0.905, 0.097)
Cs (0.321, 0.369, 0.407)
Cs (0.369, 0.048, 0.593)
Cs (0.397, 0.302, 0.903)
Cs (0.603, 0.698, 0.097)
Cs (0.631, 0.952, 0.407)
Cs (0.679, 0.631, 0.593)
Cs (0.698, 0.095, 0.903)
Cs (0.905, 0.603, 0.903)
Cs (0.952, 0.321, 0.593)
Nd (0.333, 0.667, 0.772)
Nd (0.667, 0.333, 0.228)
S (0.000, 0.000, 0.500)
S (0.103, 0.384, 0.839)
S (0.281, 0.897, 0.839)
S (0.333, 0.667, 0.574)
S (0.384, 0.281, 0.161)
S (0.616, 0.719, 0.839)
S (0.667, 0.333, 0.426)
S (0.719, 0.103, 0.161)
S (0.897, 0.616, 0.161)



5.
Diffraction record for KLaTiO4. The X-ray powder pattern is computed, not measured: it uses a cell relaxed with GGA-PBE and a wavelength of 1.5418 Å.

Most intense lines, 5° ≤ 2θ ≤ 70°, low angle first:
2theta, d_spacing, I_rel
6.5, 13.639, 1000
26.5, 3.363, 302
30.4, 2.945, 693
32.8, 2.733, 450
39.6, 2.273, 118
42.4, 2.133, 168
47.0, 1.932, 332
52.3, 1.748, 136
57.0, 1.616, 229
63.1, 1.473, 105

Atomic structure:
Cell lengths 3.866, 3.866, 13.639 Å; angles 90.00, 90.00, 90.00 degrees
Atoms (fractional coordinates):
K (0.250, 0.250, 0.094)
K (0.750, 0.750, 0.906)
La (0.250, 0.250, 0.396)
La (0.750, 0.750, 0.604)
Ti (0.250, 0.250, 0.757)
Ti (0.750, 0.750, 0.243)
O (0.250, 0.250, 0.567)
O (0.250, 0.250, 0.886)
O (0.250, 0.750, 0.274)
O (0.250, 0.750, 0.726)
O (0.750, 0.250, 0.274)
O (0.750, 0.250, 0.726)
O (0.750, 0.750, 0.114)
O (0.750, 0.750, 0.433)



6.
Diffraction record for Er2TmP3Rh12. The X-ray powder pattern is computed, not measured: it uses a cell relaxed with GGA-PBE and a wavelength of 1.5418 Å.

Most intense lines, 5° ≤ 2θ ≤ 70°, low angle first:
2theta, d_spacing, I_rel
20.8, 4.268, 180
29.0, 3.081, 191
33.8, 2.653, 165
36.5, 2.463, 326
37.0, 2.430, 225
40.5, 2.227, 1000
42.4, 2.134, 165
46.0, 1.974, 148
47.2, 1.924, 199
60.1, 1.541, 135

Atomic structure:
Cell lengths 6.683, 6.683, 6.683 Å; angles 83.58, 83.58, 83.58 degrees
Atoms (fractional coordinates):
Er (0.127, 0.127, 0.127)
Er (0.873, 0.873, 0.873)
Tm (0.500, 0.500, 0.500)
P (0.000, 0.500, 0.500)
P (0.500, 0.000, 0.500)
P (0.500, 0.500, 0.000)
Rh (0.130, 0.130, 0.593)
Rh (0.130, 0.593, 0.130)
Rh (0.163, 0.680, 0.680)
Rh (0.320, 0.320, 0.837)
Rh (0.320, 0.837, 0.320)
Rh (0.407, 0.870, 0.870)
Rh (0.593, 0.130, 0.130)
Rh (0.680, 0.163, 0.680)
Rh (0.680, 0.680, 0.163)
Rh (0.837, 0.320, 0.320)
Rh (0.870, 0.407, 0.870)
Rh (0.870, 0.870, 0.407)



7.
Diffraction record for Tb7PrNd2. The X-ray powder pattern is computed, not measured: it uses a cell relaxed with GGA-PBE and a wavelength of 1.5418 Å.

Most intense lines, 5° ≤ 2θ ≤ 70°, low angle first:
2theta, d_spacing, I_rel
30.4, 2.939, 1000
35.3, 2.545, 507
50.7, 1.800, 302
50.8, 1.797, 60
60.3, 1.535, 323
60.4, 1.533, 107
63.2, 1.471, 31
63.3, 1.470, 62
63.4, 1.468, 31

Atomic structure:
Cell lengths 6.226, 6.237, 9.524 Å; angles 102.61, 108.97, 99.60 degrees
Atoms (fractional coordinates):
Tb (0.000, 0.000, 0.000)
Tb (0.199, 0.499, 0.901)
Tb (0.202, 0.000, 0.400)
Tb (0.398, 0.499, 0.299)
Tb (0.602, 0.501, 0.701)
Tb (0.798, 0.000, 0.600)
Tb (0.801, 0.501, 0.099)
Pr (0.000, 0.500, 0.500)
Nd (0.400, 0.001, 0.801)
Nd (0.600, 0.999, 0.199)



8.
Diffraction record for CdPd4F12. The X-ray powder pattern is computed, not measured: it uses a cell relaxed with GGA-PBE and a wavelength of 1.5418 Å.

Most intense lines, 5° ≤ 2θ ≤ 70°, low angle first:
2theta, d_spacing, I_rel
15.1, 5.852, 258
15.7, 5.638, 352
21.5, 4.138, 832
23.1, 3.851, 290
30.5, 2.926, 443
31.7, 2.819, 1000
43.7, 2.069, 424
50.0, 1.823, 187
55.1, 1.668, 508
57.3, 1.609, 273

Atomic structure:
Cell lengths 7.006, 7.006, 7.006 Å; angles 113.31, 107.61, 107.57 degrees
Atoms (fractional coordinates):
Cd (0.000, 0.000, 0.000)
Pd (0.000, 0.000, 0.500)
Pd (0.000, 0.500, 0.000)
Pd (0.500, 0.000, 0.000)
Pd (0.500, 0.500, 0.500)
F (0.002, 0.694, 0.308)
F (0.234, 0.051, 0.817)
F (0.234, 0.184, 0.418)
F (0.234, 0.417, 0.183)
F (0.234, 0.816, 0.050)
F (0.386, 0.694, 0.692)
F (0.614, 0.306, 0.308)
F (0.766, 0.184, 0.950)
F (0.766, 0.583, 0.817)
F (0.766, 0.816, 0.582)
F (0.766, 0.949, 0.183)
F (0.998, 0.306, 0.692)